Structure and theoretical X-ray powder pattern of Te15W2Br12O2 (the GGA+U geometry in Alexandria; Cu Kα).
No peak broadening, texture or thermal motion is included.

Atomic structure:
Lattice parameters (Å, degrees): 7.8570 9.5515 15.2270 94.33 97.72 100.88
Space group P1 (No. 1)
One atom of each set of equivalent atoms:
Te 0.0000 0.0000 0.0000 x1
Te 0.0075 0.2677 0.7390 x1
Te 0.1280 0.5518 0.9381 x1
Te 0.1581 0.2748 0.2077 x1
Te 0.2521 0.8790 0.1076 x1
Te 0.2812 0.4466 0.6738 x1
Te 0.3481 0.0781 0.2649 x1
Te 0.3827 0.6828 0.8340 x1
Te 0.4926 0.9885 0.9892 x1
Te 0.5061 0.2677 0.7399 x1
Te 0.6309 0.5541 0.9387 x1
Te 0.7583 0.9201 0.1205 x1
Te 0.7783 0.4424 0.6731 x1
Te 0.8420 0.1617 0.2548 x1
Te 0.8812 0.6785 0.8320 x1
W 0.0148 0.6931 0.4493 x1
W 0.5156 0.6936 0.4507 x1
Br 0.0778 0.7096 0.6257 x1
Br 0.0952 0.9631 0.4656 x1
Br 0.2203 0.0535 0.8478 x1
Br 0.3856 0.4315 0.0499 x1
Br 0.4701 0.4203 0.4538 x1
Br 0.4804 0.6738 0.2820 x1
Br 0.5803 0.7189 0.6265 x1
Br 0.5959 0.9655 0.4610 x1
Br 0.7354 0.0692 0.8545 x1
Br 0.8810 0.4289 0.0497 x1
Br 0.9634 0.4166 0.4473 x1
Br 0.9797 0.6743 0.2817 x1
O 0.2753 0.6907 0.4534 x1
O 0.7751 0.6914 0.4534 x1

Main lines, sorted by position (2θ = 10–90°):
11.67°, I 76, (0 1 1); 14.36°, I 47, (0 1 -2); 23.48°, I 83, (0 2 2); 24.73°, I 34, (2 -1 1); 27.46°, I 35, (0 2 3); 29.78°, I 100, (2 1 -3); 30.25°, I 68, (2 -2 2); 36.03°, I 69, (-2 1 5); 40.97°, I 35, (2 3 0); 46.23°, I 43, (-4 1 1)